1.
Structure and simulated powder X-ray diffraction pattern of Tm4TlBi2 (a structure optimized by DFT (PBE); Cu Kα).

Most intense lines, 2θ = 10–80°, sorted by position:
| hkl | d/Å | I (rel.) |
| --- | --- | --- |
| 0 2 0 | 3.323 | 53 |
| 2 0 -1 | 3.010 | 75 |
| 1 2 0 | 2.898 | 49 |
| 0 2 2 | 2.783 | 85 |
| 1 0 3 | 2.717 | 100 |
| 2 1 0 | 2.704 | 55 |
| 1 2 -2 | 2.633 | 85 |
| 1 0 -4 | 2.532 | 83 |
| 1 2 2 | 2.418 | 36 |
| 2 4 -1 | 1.455 | 38 |

Atomic structure:
Cell lengths 6.045, 6.646, 10.397 Å; angles 90.00, 101.65, 90.00 degrees
Space group P2_1/m (No. 11)
One atom of each set of equivalent atoms:
Tm1 0.007 0.250 0.166 (multiplicity 2)
Tm2 0.138 0.750 0.449 (multiplicity 2)
Tm3 0.447 0.003 0.737 (multiplicity 4)
Tl1 0.070 0.750 0.157 (multiplicity 2)
Bi1 0.312 0.250 0.460 (multiplicity 2)
Bi2 0.452 0.250 0.003 (multiplicity 2)



2.
Structure and simulated powder X-ray diffraction pattern of Na8B13C3 (a structure optimized by DFT (PBE); Cu Kα).

Most intense lines, 2θ = 10–80°, sorted by position:
| hkl | d/Å | I (rel.) |
| --- | --- | --- |
| 1 2 1 | 2.562 | 22 |
| 2 0 0 | 2.534 | 8 |
| 1 -2 1 | 2.205 | 100 |
| 2 0 2 | 2.186 | 56 |
| 0 0 4 | 2.164 | 38 |
| 1 2 5 | 1.653 | 12 |
| 0 4 2 | 1.485 | 9 |
| 3 2 1 | 1.468 | 18 |
| 2 4 4 | 1.229 | 10 |
| 3 2 5 | 1.215 | 18 |

Atomic structure:
Cell lengths 5.067, 5.939, 9.146 Å; angles 71.12, 89.97, 89.96 degrees
Space group P1 (No. 1)
One atom of each set of equivalent atoms:
Na1 0.000 0.000 0.000 (multiplicity 1)
Na2 0.000 0.249 0.502 (multiplicity 1)
Na3 0.499 0.249 0.003 (multiplicity 1)
Na4 0.499 0.499 0.503 (multiplicity 1)
Na5 0.499 0.750 0.001 (multiplicity 1)
Na6 0.499 0.999 0.501 (multiplicity 1)
Na7 0.998 0.499 0.002 (multiplicity 1)
Na8 0.998 0.748 0.503 (multiplicity 1)
B1 0.181 0.627 0.252 (multiplicity 1)
B2 0.183 0.361 0.752 (multiplicity 1)
B3 0.183 0.887 0.752 (multiplicity 1)
B4 0.304 0.890 0.252 (multiplicity 1)
B5 0.318 0.623 0.753 (multiplicity 1)
B6 0.335 0.365 0.253 (multiplicity 1)
B7 0.648 0.125 0.750 (multiplicity 1)
B8 0.669 0.624 0.753 (multiplicity 1)
B9 0.681 0.873 0.251 (multiplicity 1)
B10 0.803 0.609 0.252 (multiplicity 1)
B11 0.831 0.372 0.752 (multiplicity 1)
B12 0.831 0.877 0.751 (multiplicity 1)
B13 0.834 0.134 0.252 (multiplicity 1)
C1 0.176 0.132 0.252 (multiplicity 1)
C2 0.328 0.124 0.751 (multiplicity 1)
C3 0.675 0.367 0.252 (multiplicity 1)



3.
Structure and simulated powder X-ray diffraction pattern of As2Rh2O7 (a structure optimized by DFT (PBE); Cu Kα).

Most intense lines, 2θ = 10–80°, sorted by position:
| hkl | d/Å | I (rel.) |
| --- | --- | --- |
| 0 0 1 | 6.306 | 55 |
| 1 1 0 | 4.838 | 32 |
| 1 1 1 | 3.782 | 100 |
| 0 2 1 | 3.545 | 70 |
| 2 0 -1 | 2.697 | 30 |
| 1 1 -2 | 2.680 | 28 |
| 2 2 0 | 2.419 | 22 |
| 1 3 -1 | 2.393 | 23 |
| 1 3 2 | 1.975 | 53 |
| 2 2 -3 | 1.612 | 26 |

Atomic structure:
Cell lengths 5.865, 8.573, 6.311 Å; angles 90.00, 92.17, 90.00 degrees
Space group C2/m (No. 12)
One atom of each set of equivalent atoms:
As1 0.244 0.000 0.145 (multiplicity 4)
Rh1 0.000 0.173 0.500 (multiplicity 4)
O1 0.000 0.500 0.000 (multiplicity 2)
O2 0.112 0.000 0.676 (multiplicity 4)
O3 0.217 0.330 0.683 (multiplicity 8)



4.
Structure and simulated powder X-ray diffraction pattern of Er2AlCo3 (a structure optimized by DFT (PBE); Cu Kα).

Most intense lines, 2θ = 10–80°, sorted by position:
| hkl | d/Å | I (rel.) |
| --- | --- | --- |
| 1 0 0 | 4.546 | 25 |
| 1 0 2 | 2.984 | 17 |
| 1 1 0 | 2.625 | 42 |
| 1 0 3 | 2.281 | 68 |
| 2 0 0 | 2.273 | 17 |
| 1 1 2 | 2.186 | 100 |
| 2 1 3 | 1.440 | 28 |
| 3 0 2 | 1.415 | 15 |
| 2 2 0 | 1.312 | 15 |
| 2 0 5 | 1.298 | 19 |

Atomic structure:
Cell lengths 5.2493, 5.2493, 7.9106 Å; angles 90.00, 90.00, 120.00 degrees
Space group P6_3/mmc (No. 194)
One atom of each set of equivalent atoms:
Er1 0.3333 0.6667 0.0628 (multiplicity 4)
Al1 0.0000 0.0000 0.0000 (multiplicity 2)
Co1 0.1735 0.3469 0.7500 (multiplicity 6)



5.
Structure and simulated powder X-ray diffraction pattern of SmGa2PtRh2 (a structure optimized by DFT (PBE); Cu Kα).

Most intense lines, 2θ = 10–80°, sorted by position:
| hkl | d/Å | I (rel.) |
| --- | --- | --- |
| 0 0 1 | 5.550 | 22 |
| 1 0 0 | 4.669 | 14 |
| 1 1 0 | 3.301 | 65 |
| 1 0 2 | 2.385 | 100 |
| 2 0 0 | 2.334 | 76 |
| 2 0 2 | 1.786 | 11 |
| 2 1 2 | 1.668 | 67 |
| 2 2 0 | 1.651 | 26 |
| 3 1 0 | 1.476 | 12 |
| 3 0 2 | 1.357 | 17 |

Atomic structure:
Cell lengths 4.669, 4.669, 5.550 Å; angles 90.00, 90.00, 90.00 degrees
Space group P4/mmm (No. 123)
One atom of each set of equivalent atoms:
Sm1 0.000 0.000 0.000 (multiplicity 1)
Ga1 0.000 0.500 0.500 (multiplicity 2)
Pt1 0.000 0.000 0.500 (multiplicity 1)
Rh1 0.500 0.500 0.243 (multiplicity 2)



6.
Structure and simulated powder X-ray diffraction pattern of KNd2B2S6 (a structure optimized by DFT (PBE); Cu Kα).

Most intense lines, 2θ = 10–80°, sorted by position:
| hkl | d/Å | I (rel.) |
| --- | --- | --- |
| 0 0 1 | 8.493 | 100 |
| 1 -1 0 | 4.751 | 14 |
| 0 0 2 | 4.246 | 11 |
| -1 1 1 | 4.146 | 25 |
| 1 1 -2 | 2.807 | 13 |
| 0 2 -1 | 2.742 | 21 |
| 2 0 1 | 2.675 | 22 |
| 1 1 2 | 2.668 | 11 |
| 0 2 -2 | 2.417 | 13 |
| -2 2 2 | 2.073 | 11 |

Atomic structure:
Cell lengths 5.947, 5.950, 8.504 Å; angles 91.69, 91.85, 106.00 degrees
Space group P-1 (No. 2)
One atom of each set of equivalent atoms:
K1 0.000 0.000 0.000 (multiplicity 1)
Nd1 0.252 0.748 0.500 (multiplicity 2)
B1 0.259 0.258 0.660 (multiplicity 2)
S1 0.094 0.430 0.759 (multiplicity 2)
S2 0.245 0.246 0.440 (multiplicity 2)
S3 0.430 0.092 0.759 (multiplicity 2)